Record 1
# Li5Nb2Ni5O12
Simulated X-ray diffraction stick pattern, Cu Kα X-rays. Input: a PBE+U-relaxed structure.

Top 10 peaks for 10° ≤ 2θ ≤ 90°, sorted by position:
- 18.81 deg, rel. 30.6
- 21.20 deg, rel. 19.8
- 23.45 deg, rel. 59.3
- 23.55 deg, rel. 30.8
- 36.90 deg, rel. 51.3
- 42.64 deg, rel. 100.0
- 43.18 deg, rel. 48.3
- 62.17 deg, rel. 28.4
- 62.42 deg, rel. 28.0
- 78.53 deg, rel. 19.5

Crystal structure
```
Li5Nb2Ni5O12
1.0
5.1424 0.0000 0.0000
-1.6618 4.8932 0.0000
-1.7358 -2.4390 8.9856
Li Nb Ni O
5 2 5 12
Direct
0.0000 0.0000 0.0000
0.0848 0.5856 0.1707
0.3324 0.3316 0.6667
0.6672 0.6691 0.3380
0.8258 0.8265 0.6553
0.1642 0.1652 0.3310
0.9176 0.4178 0.8357
0.2539 0.7542 0.5087
0.4166 0.9165 0.8337
0.5048 0.5053 0.0106
0.5806 0.0814 0.1628
0.7518 0.2528 0.5049
0.0085 0.0068 0.4932
0.0801 0.5857 0.6701
0.1640 0.1848 0.8398
0.2568 0.7507 0.9985
0.3327 0.3263 0.1742
0.4160 0.9279 0.3392
0.4827 0.4856 0.4931
0.5897 0.0844 0.6703
0.6754 0.6551 0.8395
0.7405 0.2474 0.9984
0.8395 0.8475 0.1742
0.9222 0.4120 0.3390
```

---

Record 2
# Li3NbNi4O8
Simulated X-ray diffraction stick pattern, Cu Kα X-rays. Input: a PBE+U-relaxed structure.

Top 10 peaks for 10° ≤ 2θ ≤ 90°, sorted by position:
- 18.15 deg, rel. 100.0
- 34.95 deg, rel. 32.4
- 35.46 deg, rel. 16.8
- 36.75 deg, rel. 56.3
- 42.40 deg, rel. 78.6
- 43.27 deg, rel. 36.9
- 46.89 deg, rel. 12.8
- 61.52 deg, rel. 22.6
- 62.19 deg, rel. 43.7
- 78.14 deg, rel. 15.4

Crystal structure
```
Li3NbNi4O8
1.0
5.1498 -3.0164 0.0000
5.1498 3.0164 0.0000
-3.5167 0.0000 4.8928
Li Nb Ni O
3 1 4 8
Direct
0.0000 0.0000 0.0000
0.0000 0.5000 0.5000
0.5000 0.0000 0.5000
0.5000 0.5000 0.5000
0.0000 0.0000 0.5000
0.0000 0.5000 0.0000
0.5000 0.0000 0.0000
0.5000 0.5000 0.0000
0.2499 0.2499 0.7665
0.2585 0.7385 0.7386
0.2604 0.2604 0.2592
0.2615 0.7415 0.2614
0.7385 0.2585 0.7386
0.7396 0.7396 0.7408
0.7415 0.2615 0.2614
0.7501 0.7501 0.2335
```

---

Record 3
# LiNbNiO4
Simulated X-ray diffraction stick pattern, Cu Kα X-rays. Input: a PBE+U-relaxed structure.

Top 10 peaks for 10° ≤ 2θ ≤ 90°, sorted by position:
- 14.61 deg, rel. 14.4
- 17.90 deg, rel. 16.4
- 23.18 deg, rel. 15.7
- 29.43 deg, rel. 67.9
- 34.66 deg, rel. 100.0
- 52.21 deg, rel. 26.2
- 55.59 deg, rel. 16.3
- 55.69 deg, rel. 17.0
- 61.08 deg, rel. 41.4
- 87.27 deg, rel. 10.8

Crystal structure
```
LiNbNiO4
1.0
6.0637 0.0000 0.0000
0.0000 6.0637 0.0000
0.0000 0.0000 8.5977
Li Nb Ni O
4 4 4 16
Direct
0.0000 0.2345 0.0000
0.0000 0.7655 0.5000
0.2345 0.0000 0.2500
0.7655 0.0000 0.7500
0.2547 0.2547 0.6250
0.2547 0.7453 0.8750
0.7453 0.2547 0.3750
0.7453 0.7453 0.1250
0.2436 0.5000 0.2500
0.5000 0.2436 0.0000
0.5000 0.7564 0.5000
0.7564 0.5000 0.7500
0.0021 0.2571 0.2541
0.0021 0.7429 0.2459
0.2571 0.0021 0.9959
0.2575 0.4937 0.0073
0.2575 0.5063 0.4927
0.2571 0.9979 0.5041
0.4937 0.2575 0.2427
0.4937 0.7425 0.2573
0.5063 0.2575 0.7573
0.5063 0.7425 0.7427
0.7429 0.0021 0.0041
0.7425 0.4937 0.9927
0.7425 0.5063 0.5073
0.7429 0.9979 0.4959
0.9979 0.2571 0.7459
0.9979 0.7429 0.7541
```

---

Record 4
# Li3Nb4NiO12
Simulated X-ray diffraction stick pattern, Cu Kα X-rays. Input: a PBE+U-relaxed structure.

Top 10 peaks for 10° ≤ 2θ ≤ 90°, sorted by position:
- 23.11 deg, rel. 48.6
- 23.37 deg, rel. 100.0
- 31.82 deg, rel. 32.0
- 32.06 deg, rel. 31.2
- 32.20 deg, rel. 29.5
- 34.08 deg, rel. 22.0
- 34.35 deg, rel. 40.6
- 47.24 deg, rel. 14.8
- 47.84 deg, rel. 13.8
- 52.32 deg, rel. 18.5

Crystal structure
```
Li3Nb4NiO12
1.0
5.2616 0.0000 0.0000
0.0604 5.6123 0.0000
0.0692 0.7633 7.6055
Li Nb Ni O
3 4 1 12
Direct
0.0000 0.0000 0.0000
0.0047 0.0067 0.4994
0.4980 0.5077 0.4947
0.0032 0.5709 0.2868
0.5007 0.0684 0.7808
0.5006 0.0711 0.2829
0.9913 0.5662 0.7826
0.5124 0.4974 0.9894
0.1264 0.6198 0.5479
0.1782 0.2846 0.8608
0.1876 0.9256 0.2424
0.3128 0.7930 0.8637
0.3256 0.4247 0.2454
0.3789 0.1163 0.5450
0.6284 0.1228 0.0436
0.6765 0.4232 0.7319
0.6991 0.7983 0.3657
0.8107 0.2962 0.3641
0.8201 0.9214 0.7401
0.8948 0.6270 0.0473
```

---

Record 5
# Li5Nb2Ni5O12
Simulated X-ray diffraction stick pattern, Cu Kα X-rays. Input: a PBE+U-relaxed structure.

Top 10 peaks for 10° ≤ 2θ ≤ 90°, sorted by position:
- 18.06 deg, rel. 50.3
- 19.41 deg, rel. 32.1
- 23.58 deg, rel. 43.0
- 31.00 deg, rel. 19.3
- 34.68 deg, rel. 16.8
- 36.60 deg, rel. 46.6
- 41.97 deg, rel. 100.0
- 43.72 deg, rel. 42.1
- 62.11 deg, rel. 25.2
- 62.32 deg, rel. 25.5

Crystal structure
```
Li5Nb2Ni5O12
1.0
2.5632 -4.5722 0.0000
2.5632 4.5722 0.0000
-2.0421 0.0000 9.8226
Li Nb Ni O
5 2 5 12
Direct
0.0000 0.0000 0.0000
0.2606 0.2401 0.7547
0.3951 0.0961 0.2446
0.7599 0.7395 0.2453
0.9039 0.6049 0.7554
0.3319 0.6681 0.0000
0.8257 0.1743 0.5000
0.0745 0.4148 0.2470
0.1564 0.8436 0.5000
0.4955 0.5045 0.5000
0.5853 0.9255 0.7530
0.6611 0.3389 0.0000
0.0492 0.7001 0.1208
0.1116 0.1334 0.3759
0.1999 0.5478 0.6178
0.2999 0.9508 0.8792
0.3697 0.3943 0.1191
0.4522 0.8001 0.3822
0.5401 0.2142 0.6233
0.6057 0.6303 0.8809
0.6920 0.0413 0.1196
0.7858 0.4599 0.3767
0.8666 0.8884 0.6241
0.9587 0.3080 0.8804
```

---

Record 6
# Li11Nb4Ni9O24
Simulated X-ray diffraction stick pattern, Cu Kα X-rays. Input: a PBE+U-relaxed structure.

Top 10 peaks for 10° ≤ 2θ ≤ 90°, sorted by position:
- 18.83 deg, rel. 64.7
- 23.63 deg, rel. 100.0
- 31.19 deg, rel. 22.0
- 36.76 deg, rel. 30.3
- 36.82 deg, rel. 29.9
- 41.55 deg, rel. 50.6
- 43.31 deg, rel. 45.2
- 43.34 deg, rel. 45.0
- 61.53 deg, rel. 28.4
- 61.63 deg, rel. 27.1

Crystal structure
```
Li11Nb4Ni9O24
1.0
5.2615 0.0000 0.0000
1.6621 9.1882 0.0000
1.3981 2.6044 9.4126
Li Nb Ni O
11 4 9 24
Direct
0.0000 0.0000 0.0000
0.0366 0.8403 0.5421
0.1700 0.3346 0.1650
0.3309 0.6707 0.3327
0.3747 0.4943 0.8770
0.4585 0.1586 0.9605
0.4959 0.0019 0.5005
0.5398 0.8404 0.0389
0.6590 0.3352 0.6685
0.8303 0.6712 0.8328
0.9593 0.1578 0.4614
0.2908 0.8306 0.7926
0.4158 0.3388 0.4156
0.7910 0.8293 0.2938
0.9148 0.3337 0.9170
0.0860 0.6625 0.0834
0.1152 0.5087 0.6280
0.2063 0.1684 0.7090
0.2462 0.0076 0.2487
0.5789 0.6628 0.5868
0.6267 0.5087 0.1183
0.7054 0.1675 0.2077
0.7460 0.0088 0.7481
0.8732 0.4953 0.3756
0.0640 0.3335 0.5378
0.0705 0.1734 0.0799
0.1164 0.9965 0.6360
0.1380 0.8335 0.1760
0.2166 0.6740 0.7068
0.2628 0.3355 0.7991
0.2820 0.4999 0.2440
0.3387 0.1760 0.3341
0.3830 0.9964 0.8665
0.4414 0.8333 0.4088
0.4430 0.6739 0.9573
0.4631 0.5002 0.5077
0.5658 0.3353 0.0344
0.5706 0.1764 0.5788
0.6139 0.9946 0.1380
0.6386 0.8356 0.6745
0.7198 0.6739 0.2012
0.7559 0.4973 0.7536
0.7664 0.3324 0.2953
0.8383 0.1738 0.8341
0.8844 0.9949 0.3656
0.9394 0.6745 0.4631
0.9415 0.8353 0.9083
0.9915 0.4970 0.9989
```

---

Record 7
# Li5Nb2Ni3O10
Simulated X-ray diffraction stick pattern, Cu Kα X-rays. Input: a PBE+U-relaxed structure.

Top 10 peaks for 10° ≤ 2θ ≤ 90°, sorted by position:
- 12.36 deg, rel. 21.0
- 18.01 deg, rel. 100.0
- 22.37 deg, rel. 19.0
- 26.31 deg, rel. 19.1
- 29.40 deg, rel. 13.7
- 34.93 deg, rel. 25.8
- 36.46 deg, rel. 21.8
- 42.22 deg, rel. 40.5
- 42.62 deg, rel. 35.7
- 42.83 deg, rel. 36.0

Crystal structure
```
Li5Nb2Ni3O10
1.0
5.2108 0.0000 0.0000
0.9003 5.1410 0.0000
2.5162 2.1175 7.1600
Li Nb Ni O
5 2 3 10
Direct
0.0000 0.0000 0.0000
0.4932 0.9189 0.6992
0.4938 0.7235 0.1026
0.5062 0.2765 0.8974
0.5068 0.0811 0.3008
0.0128 0.3989 0.1919
0.9872 0.6011 0.8081
0.0035 0.1989 0.5997
0.5000 0.5000 0.5000
0.9965 0.8011 0.4003
0.2356 0.0673 0.1543
0.2366 0.8383 0.5564
0.2402 0.2735 0.7465
0.2400 0.4525 0.3508
0.2449 0.6514 0.9507
0.7551 0.3486 0.0493
0.7600 0.5475 0.6492
0.7598 0.7265 0.2535
0.7634 0.1617 0.4436
0.7644 0.9327 0.8457
```

---

Record 8
# Li5Nb6NiO18
Simulated X-ray diffraction stick pattern, Cu Kα X-rays. Input: a PBE+U-relaxed structure.

Top 10 peaks for 10° ≤ 2θ ≤ 90°, sorted by position:
- 23.31 deg, rel. 100.0
- 32.03 deg, rel. 53.8
- 34.31 deg, rel. 23.4
- 34.36 deg, rel. 11.3
- 41.90 deg, rel. 12.1
- 47.65 deg, rel. 24.6
- 52.13 deg, rel. 33.4
- 55.24 deg, rel. 15.3
- 60.07 deg, rel. 13.2
- 61.50 deg, rel. 11.0

Crystal structure
```
Li5Nb6NiO18
1.0
7.6710 0.0000 0.0000
-3.5655 8.3147 0.0000
-1.0895 -3.7614 10.5359
Li Nb Ni O
10 12 2 36
Direct
0.0000 0.0000 0.0000
0.0002 0.0005 0.4995
0.1664 0.3328 0.3326
0.3334 0.6662 0.6664
0.3341 0.6669 0.1663
0.5007 0.0002 0.9998
0.5007 0.0008 0.4999
0.6670 0.3343 0.8330
0.8330 0.6663 0.1661
0.8339 0.6673 0.6667
0.1199 0.6684 0.8809
0.1206 0.6671 0.3818
0.2849 0.9986 0.2140
0.2871 0.0001 0.7145
0.4511 0.3333 0.0471
0.4517 0.3343 0.5489
0.6182 0.6683 0.3805
0.6206 0.6690 0.8802
0.7835 0.9993 0.7128
0.7848 0.9974 0.2126
0.9513 0.3331 0.0489
0.9511 0.3336 0.5467
0.1671 0.3354 0.8362
0.6656 0.3317 0.3353
0.0947 0.0840 0.2124
0.0950 0.0855 0.7120
0.1031 0.4636 0.2174
0.1045 0.4654 0.7147
0.1380 0.7864 0.2348
0.1387 0.7869 0.7354
0.1407 0.5376 0.4855
0.1427 0.5380 0.9864
0.1736 0.2460 0.0084
0.1763 0.2495 0.5041
0.1852 0.8804 0.0087
0.1855 0.8804 0.5083
0.4264 0.7523 0.3792
0.4266 0.7516 0.8791
0.4364 0.1295 0.8833
0.4386 0.1293 0.3843
0.4688 0.4548 0.4021
0.4729 0.2016 0.1489
0.4731 0.2037 0.6524
0.4763 0.4543 0.9007
0.5076 0.9146 0.6696
0.5083 0.9156 0.1703
0.5188 0.5473 0.1758
0.5189 0.5480 0.6757
0.7602 0.4177 0.0460
0.7610 0.4210 0.5521
0.7694 0.7958 0.5504
0.7704 0.7969 0.0509
0.8044 0.1193 0.0684
0.8048 0.1194 0.5688
0.8063 0.8698 0.3196
0.8077 0.8715 0.8188
0.8430 0.5812 0.3361
0.8442 0.5833 0.8371
0.8479 0.2124 0.8412
0.8560 0.2126 0.3404
```

---

Record 9
# Li4NbNi3O8
Simulated X-ray diffraction stick pattern, Cu Kα X-rays. Input: a PBE+U-relaxed structure.

Top 10 peaks for 10° ≤ 2θ ≤ 90°, sorted by position:
- 18.26 deg, rel. 100.0
- 35.38 deg, rel. 48.5
- 37.00 deg, rel. 25.6
- 42.99 deg, rel. 70.8
- 47.07 deg, rel. 18.3
- 56.84 deg, rel. 17.5
- 62.43 deg, rel. 40.2
- 65.64 deg, rel. 16.4
- 74.84 deg, rel. 12.4
- 78.79 deg, rel. 12.3

Crystal structure
```
Li4NbNi3O8
1.0
2.9749 1.7176 4.8597
-2.9749 1.7176 4.8597
0.0000 -3.4351 4.8597
Li Nb Ni O
4 1 3 8
Direct
0.0000 0.0000 0.0000
0.0000 0.5000 0.5000
0.5000 0.0000 0.5000
0.5000 0.5000 0.0000
0.5000 0.5000 0.5000
0.0000 0.0000 0.5000
0.0000 0.5000 0.0000
0.5000 0.0000 0.0000
0.2381 0.2381 0.2381
0.2589 0.7404 0.7404
0.2596 0.2596 0.7411
0.2596 0.7411 0.2596
0.7404 0.2589 0.7404
0.7404 0.7404 0.2589
0.7411 0.2596 0.2596
0.7619 0.7619 0.7619
```